Record 1
This entry pairs a crystal structure of ErTm2Sn2 with its simulated powder XRD pattern. Radiation: Cu Ka. Structure: a structure optimized by DFT (GGA-PBE).
Neutral-atom scattering factors, no anomalous dispersion.

Peak list (6 most intense, 15° ≤ 2θ ≤ 90°, in order of rising 2θ)
d_spacing, I/Imax
3.205, 23
2.886, 100
2.651, 31
2.445, 74
2.145, 23
1.401, 23

```
data_ErTm2Sn2
_symmetry_space_group_name_H-M 'P 1'
_symmetry_Int_Tables_number 1
_cell_length_a 9.268
_cell_length_b 9.268
_cell_length_c 6.411
_cell_angle_alpha 90.00
_cell_angle_beta 90.00
_cell_angle_gamma 149.41
loop_
_symmetry_equiv_pos_as_xyz
'x,y,z'
loop_
_atom_site_label
_atom_site_fract_x
_atom_site_fract_y
_atom_site_fract_z
_atom_site_occupancy
Er1 0.107 0.893 0.500 1
Er2 0.893 0.107 0.000 1
Tm1 0.312 0.688 0.493 1
Tm2 0.499 0.501 0.748 1
Tm3 0.501 0.499 0.248 1
Tm4 0.688 0.312 0.993 1
Sn1 0.074 0.926 0.998 1
Sn2 0.301 0.699 0.992 1
Sn3 0.699 0.301 0.492 1
Sn4 0.926 0.074 0.498 1
```

---

Record 2
This entry pairs a crystal structure of Er2TmSn with its simulated powder XRD pattern. Radiation: Cu Ka. Structure: a structure optimized by DFT (GGA-PBE).
Neutral-atom scattering factors, no anomalous dispersion.

Peak list (6 most intense, 15° ≤ 2θ ≤ 90°, in order of rising 2θ)
d_spacing, I/Imax
2.750, 100
2.664, 22
2.551, 22
1.843, 15
1.508, 16
1.436, 14

```
data_Er2TmSn
_symmetry_space_group_name_H-M 'P 1'
_symmetry_Int_Tables_number 1
_cell_length_a 13.066
_cell_length_b 5.102
_cell_length_c 6.736
_cell_angle_alpha 90.00
_cell_angle_beta 90.00
_cell_angle_gamma 90.00
loop_
_symmetry_equiv_pos_as_xyz
'x,y,z'
loop_
_atom_site_label
_atom_site_fract_x
_atom_site_fract_y
_atom_site_fract_z
_atom_site_occupancy
Er1 0.066 0.250 0.120 1
Er2 0.188 0.750 0.364 1
Er3 0.312 0.250 0.864 1
Er4 0.434 0.750 0.620 1
Er5 0.566 0.250 0.380 1
Er6 0.688 0.750 0.136 1
Er7 0.812 0.250 0.636 1
Er8 0.934 0.750 0.880 1
Tm1 0.074 0.250 0.620 1
Tm2 0.426 0.750 0.120 1
Tm3 0.574 0.250 0.880 1
Tm4 0.926 0.750 0.380 1
Sn1 0.181 0.750 0.868 1
Sn2 0.319 0.250 0.368 1
Sn3 0.681 0.750 0.632 1
Sn4 0.819 0.250 0.132 1
```

---

Record 3
This entry pairs a crystal structure of ErTm6Sn3 with its simulated powder XRD pattern. Radiation: Cu Ka. Structure: a structure optimized by DFT (GGA-PBE).
Neutral-atom scattering factors, no anomalous dispersion.

Peak list (6 most intense, 15° ≤ 2θ ≤ 90°, in order of rising 2θ)
d_spacing, I/Imax
3.249, 34
3.001, 22
2.791, 100
2.725, 64
2.564, 25
2.385, 28

```
data_ErTm6Sn3
_symmetry_space_group_name_H-M 'P 1'
_symmetry_Int_Tables_number 1
_cell_length_a 7.785
_cell_length_b 7.785
_cell_length_c 7.785
_cell_angle_alpha 113.16
_cell_angle_beta 113.16
_cell_angle_gamma 113.16
loop_
_symmetry_equiv_pos_as_xyz
'x,y,z'
loop_
_atom_site_label
_atom_site_fract_x
_atom_site_fract_y
_atom_site_fract_z
_atom_site_occupancy
Er1 0.000 0.000 0.000 1
Tm1 0.408 0.920 0.920 1
Tm2 0.465 0.465 0.718 1
Tm3 0.465 0.718 0.465 1
Tm4 0.718 0.465 0.465 1
Tm5 0.920 0.408 0.920 1
Tm6 0.920 0.920 0.408 1
Sn1 0.357 0.357 0.999 1
Sn2 0.357 0.999 0.357 1
Sn3 0.999 0.357 0.357 1
```

---

Record 4
This entry pairs a crystal structure of ErTm5Sn2 with its simulated powder XRD pattern. Radiation: Cu Ka. Structure: a structure optimized by DFT (GGA-PBE).
Neutral-atom scattering factors, no anomalous dispersion.

Peak list (6 most intense, 15° ≤ 2θ ≤ 90°, in order of rising 2θ)
d_spacing, I/Imax
2.829, 91
2.674, 64
2.664, 100
2.596, 42
1.863, 36
1.513, 41

```
data_ErTm5Sn2
_symmetry_space_group_name_H-M 'P 1'
_symmetry_Int_Tables_number 1
_cell_length_a 8.279
_cell_length_b 8.279
_cell_length_c 8.279
_cell_angle_alpha 155.56
_cell_angle_beta 102.33
_cell_angle_gamma 82.88
loop_
_symmetry_equiv_pos_as_xyz
'x,y,z'
loop_
_atom_site_label
_atom_site_fract_x
_atom_site_fract_y
_atom_site_fract_z
_atom_site_occupancy
Er1 0.000 0.000 0.000 1
Tm1 0.139 0.365 0.774 1
Tm2 0.409 0.635 0.774 1
Tm3 0.500 0.000 0.500 1
Tm4 0.591 0.365 0.226 1
Tm5 0.861 0.635 0.226 1
Sn1 0.239 0.739 0.500 1
Sn2 0.761 0.261 0.500 1
```

---

Record 5
This entry pairs a crystal structure of Er3Tm5Sn with its simulated powder XRD pattern. Radiation: Cu Ka. Structure: a structure optimized by DFT (GGA-PBE).
Neutral-atom scattering factors, no anomalous dispersion.

Peak list (6 most intense, 15° ≤ 2θ ≤ 90°, in order of rising 2θ)
d_spacing, I/Imax
4.008, 60
3.240, 100
3.108, 46
3.032, 81
2.787, 52
2.749, 81

```
data_Er3Tm5Sn
_symmetry_space_group_name_H-M 'P 1'
_symmetry_Int_Tables_number 1
_cell_length_a 7.951
_cell_length_b 7.951
_cell_length_c 10.794
_cell_angle_alpha 95.34
_cell_angle_beta 95.34
_cell_angle_gamma 60.55
loop_
_symmetry_equiv_pos_as_xyz
'x,y,z'
loop_
_atom_site_label
_atom_site_fract_x
_atom_site_fract_y
_atom_site_fract_z
_atom_site_occupancy
Er1 0.000 0.000 0.000 1
Er2 0.000 0.000 0.500 1
Er3 0.267 0.267 0.467 1
Er4 0.334 0.334 0.786 1
Er5 0.666 0.666 0.214 1
Er6 0.733 0.733 0.533 1
Tm1 0.070 0.678 0.231 1
Tm2 0.240 0.240 0.047 1
Tm3 0.322 0.930 0.769 1
Tm4 0.334 0.666 0.000 1
Tm5 0.493 0.493 0.354 1
Tm6 0.507 0.507 0.646 1
Tm7 0.666 0.334 0.000 1
Tm8 0.678 0.070 0.231 1
Tm9 0.760 0.760 0.953 1
Tm10 0.930 0.322 0.769 1
Sn1 0.095 0.095 0.261 1
Sn2 0.905 0.905 0.739 1
```

---

Record 6
This entry pairs a crystal structure of Er3TmSn3 with its simulated powder XRD pattern. Radiation: Cu Ka. Structure: a structure optimized by DFT (GGA-PBE).
Neutral-atom scattering factors, no anomalous dispersion.

Peak list (6 most intense, 15° ≤ 2θ ≤ 90°, in order of rising 2θ)
d_spacing, I/Imax
2.938, 22
2.713, 28
2.584, 100
1.696, 19
1.540, 21
1.438, 17

```
data_Er3TmSn3
_symmetry_space_group_name_H-M 'P 1'
_symmetry_Int_Tables_number 1
_cell_length_a 8.977
_cell_length_b 8.977
_cell_length_c 5.426
_cell_angle_alpha 90.00
_cell_angle_beta 90.00
_cell_angle_gamma 120.00
loop_
_symmetry_equiv_pos_as_xyz
'x,y,z'
loop_
_atom_site_label
_atom_site_fract_x
_atom_site_fract_y
_atom_site_fract_z
_atom_site_occupancy
Er1 0.008 0.239 0.250 1
Er2 0.230 0.992 0.250 1
Er3 0.239 0.230 0.750 1
Er4 0.761 0.770 0.250 1
Er5 0.770 0.008 0.750 1
Er6 0.992 0.761 0.750 1
Tm1 0.333 0.667 0.250 1
Tm2 0.667 0.333 0.750 1
Sn1 0.078 0.455 0.750 1
Sn2 0.377 0.922 0.750 1
Sn3 0.455 0.377 0.250 1
Sn4 0.545 0.623 0.750 1
Sn5 0.623 0.078 0.250 1
Sn6 0.922 0.545 0.250 1
```

---

Record 7
This entry pairs a crystal structure of Er8Tm6Sn with its simulated powder XRD pattern. Radiation: Cu Ka. Structure: a structure optimized by DFT (GGA-PBE).
Neutral-atom scattering factors, no anomalous dispersion.

Peak list (6 most intense, 15° ≤ 2θ ≤ 90°, in order of rising 2θ)
d_spacing, I/Imax
3.369, 27
2.698, 43
2.685, 100
2.600, 70
1.868, 18
1.729, 18

```
data_Er8Tm6Sn
_symmetry_space_group_name_H-M 'P 1'
_symmetry_Int_Tables_number 1
_cell_length_a 9.008
_cell_length_b 9.008
_cell_length_c 6.687
_cell_angle_alpha 90.00
_cell_angle_beta 90.00
_cell_angle_gamma 120.00
loop_
_symmetry_equiv_pos_as_xyz
'x,y,z'
loop_
_atom_site_label
_atom_site_fract_x
_atom_site_fract_y
_atom_site_fract_z
_atom_site_occupancy
Er1 0.014 0.327 0.385 1
Er2 0.313 0.986 0.385 1
Er3 0.327 0.313 0.615 1
Er4 0.333 0.667 0.705 1
Er5 0.667 0.333 0.295 1
Er6 0.673 0.687 0.385 1
Er7 0.687 0.014 0.615 1
Er8 0.986 0.673 0.615 1
Tm1 0.071 0.680 0.107 1
Tm2 0.320 0.390 0.107 1
Tm3 0.390 0.071 0.893 1
Tm4 0.610 0.929 0.107 1
Tm5 0.680 0.610 0.893 1
Tm6 0.929 0.320 0.893 1
Sn1 0.000 0.000 0.000 1
```

---

Record 8
This entry pairs a crystal structure of Er3Tm2Sn with its simulated powder XRD pattern. Radiation: Cu Ka. Structure: a structure optimized by DFT (GGA-PBE).
Neutral-atom scattering factors, no anomalous dispersion.

Peak list (6 most intense, 15° ≤ 2θ ≤ 90°, in order of rising 2θ)
d_spacing, I/Imax
2.888, 96
2.834, 23
2.684, 95
2.648, 100
1.764, 21
1.502, 35

```
data_Er3Tm2Sn
_symmetry_space_group_name_H-M 'P 1'
_symmetry_Int_Tables_number 1
_cell_length_a 8.301
_cell_length_b 3.518
_cell_length_c 12.062
_cell_angle_alpha 90.00
_cell_angle_beta 90.07
_cell_angle_gamma 90.00
loop_
_symmetry_equiv_pos_as_xyz
'x,y,z'
loop_
_atom_site_label
_atom_site_fract_x
_atom_site_fract_y
_atom_site_fract_z
_atom_site_occupancy
Er1 0.079 0.250 0.111 1
Er2 0.345 0.750 0.558 1
Er3 0.390 0.750 0.250 1
Er4 0.610 0.250 0.750 1
Er5 0.655 0.250 0.442 1
Er6 0.921 0.750 0.889 1
Tm1 0.078 0.250 0.389 1
Tm2 0.346 0.750 0.942 1
Tm3 0.654 0.250 0.058 1
Tm4 0.922 0.750 0.611 1
Sn1 0.190 0.250 0.750 1
Sn2 0.810 0.750 0.250 1
```

---

Record 9
This entry pairs a crystal structure of Er2Tm7Sn with its simulated powder XRD pattern. Radiation: Cu Ka. Structure: a structure optimized by DFT (GGA-PBE).
Neutral-atom scattering factors, no anomalous dispersion.

Peak list (6 most intense, 15° ≤ 2θ ≤ 90°, in order of rising 2θ)
d_spacing, I/Imax
5.249, 47
2.934, 34
2.625, 44
2.613, 100
2.481, 60
1.455, 37

```
data_Er2Tm7Sn
_symmetry_space_group_name_H-M 'P 1'
_symmetry_Int_Tables_number 1
_cell_length_a 9.117
_cell_length_b 9.117
_cell_length_c 5.249
_cell_angle_alpha 90.00
_cell_angle_beta 90.00
_cell_angle_gamma 123.88
loop_
_symmetry_equiv_pos_as_xyz
'x,y,z'
loop_
_atom_site_label
_atom_site_fract_x
_atom_site_fract_y
_atom_site_fract_z
_atom_site_occupancy
Er1 0.209 0.791 0.000 1
Er2 0.791 0.209 0.000 1
Tm1 0.000 0.000 0.000 1
Tm2 0.219 0.428 0.000 1
Tm3 0.304 0.696 0.500 1
Tm4 0.428 0.219 0.000 1
Tm5 0.572 0.781 0.000 1
Tm6 0.696 0.304 0.500 1
Tm7 0.781 0.572 0.000 1
Sn1 0.500 0.500 0.500 1
```

---

Record 10
This entry pairs a crystal structure of Y5ErSn4 with its simulated powder XRD pattern. Radiation: Cu Ka. Structure: a structure optimized by DFT (GGA-PBE).
Neutral-atom scattering factors, no anomalous dispersion.

Peak list (6 most intense, 15° ≤ 2θ ≤ 90°, in order of rising 2θ)
d_spacing, I/Imax
3.038, 55
2.913, 100
2.368, 26
2.116, 42
2.089, 36
1.848, 24

```
data_Y5ErSn4
_symmetry_space_group_name_H-M 'P 1'
_symmetry_Int_Tables_number 1
_cell_length_a 9.646
_cell_length_b 9.646
_cell_length_c 9.475
_cell_angle_alpha 105.38
_cell_angle_beta 105.38
_cell_angle_gamma 22.08
loop_
_symmetry_equiv_pos_as_xyz
'x,y,z'
loop_
_atom_site_label
_atom_site_fract_x
_atom_site_fract_y
_atom_site_fract_z
_atom_site_occupancy
Y1 0.000 0.000 0.000 1
Y2 0.326 0.326 0.140 1
Y3 0.335 0.335 0.688 1
Y4 0.665 0.665 0.312 1
Y5 0.674 0.674 0.860 1
Er1 0.000 0.000 0.500 1
Sn1 0.168 0.168 0.587 1
Sn2 0.496 0.496 0.246 1
Sn3 0.504 0.504 0.754 1
Sn4 0.832 0.832 0.413 1
```

---

Record 11
This entry pairs a crystal structure of Y2ErSn with its simulated powder XRD pattern. Radiation: Cu Ka. Structure: a structure optimized by DFT (GGA-PBE).
Neutral-atom scattering factors, no anomalous dispersion.

Peak list (6 most intense, 15° ≤ 2θ ≤ 90°, in order of rising 2θ)
d_spacing, I/Imax
4.290, 35
3.099, 40
2.732, 100
2.556, 97
1.867, 33
1.507, 33

```
data_Y2ErSn
_symmetry_space_group_name_H-M 'P 1'
_symmetry_Int_Tables_number 1
_cell_length_a 6.496
_cell_length_b 6.496
_cell_length_c 6.496
_cell_angle_alpha 46.35
_cell_angle_beta 46.35
_cell_angle_gamma 46.35
loop_
_symmetry_equiv_pos_as_xyz
'x,y,z'
loop_
_atom_site_label
_atom_site_fract_x
_atom_site_fract_y
_atom_site_fract_z
_atom_site_occupancy
Y1 0.000 0.000 0.000 1
Y2 0.218 0.218 0.218 1
Er1 0.435 0.435 0.435 1
Sn1 0.625 0.625 0.625 1
```

---

Record 12
This entry pairs a crystal structure of Er4Zn3Sn with its simulated powder XRD pattern. Radiation: Cu Ka. Structure: a structure optimized by DFT (GGA-PBE).
Neutral-atom scattering factors, no anomalous dispersion.

Peak list (6 most intense, 15° ≤ 2θ ≤ 90°, in order of rising 2θ)
d_spacing, I/Imax
3.590, 26
2.548, 99
2.529, 100
1.795, 35
1.464, 36
1.460, 18

```
data_Er4Zn3Sn
_symmetry_space_group_name_H-M 'P 1'
_symmetry_Int_Tables_number 1
_cell_length_a 8.849
_cell_length_b 8.849
_cell_length_c 8.849
_cell_angle_alpha 33.21
_cell_angle_beta 33.21
_cell_angle_gamma 33.21
loop_
_symmetry_equiv_pos_as_xyz
'x,y,z'
loop_
_atom_site_label
_atom_site_fract_x
_atom_site_fract_y
_atom_site_fract_z
_atom_site_occupancy
Er1 0.121 0.121 0.121 1
Er2 0.372 0.372 0.372 1
Er3 0.628 0.628 0.628 1
Er4 0.879 0.879 0.879 1
Zn1 0.000 0.000 0.000 1
Zn2 0.254 0.254 0.254 1
Zn3 0.746 0.746 0.746 1
Sn1 0.500 0.500 0.500 1
```

---

Which formula does entry 7 have?
Er8Tm6Sn